# Fe2TeO5
Simulated powder XRD pattern, CuKα. Input: a DFT-relaxed cell (PBE+U, the Materials Project).
Intensities are scaled so that the largest is 100.

Most intense lines, 10° ≤ 2θ ≤ 90°, low angle first:
two_theta  Rel. int.
19.47  46.9
21.76  66.0
22.43  21.7
25.59  26.2
30.83  91.5
32.13  100.0
33.58  21.0
35.59  29.3
36.62  21.0
50.33  19.1
62.12  19.6
63.36  20.9

Structural model:
```
Fe2TeO5
1.0
7.7770 0.0000 0.0000
0.0000 5.0421 0.0000
-2.4631 0.0000 10.6739
Fe Te O
8 4 20
Cartesian
-0.6734 0.3610 3.9376
-1.9050 2.1600 9.2746
1.2127 0.2399 0.9819
-0.0188 2.2811 6.3188
5.3327 2.7610 4.3551
4.1011 4.8022 9.6920
7.2188 2.8821 1.3993
5.9873 4.6810 6.7363
1.9497 2.8281 3.5572
0.7181 4.7350 8.8941
4.5958 0.3070 1.7798
3.3642 2.2140 7.1167
-0.7966 3.7813 5.1716
-2.0281 3.7818 10.5085
-1.0241 3.1597 7.8224
0.2074 4.4034 2.4854
0.1153 0.5097 7.2849
1.3469 2.0113 1.9479
-0.2903 1.0213 9.9732
0.9413 1.4997 4.6362
1.6695 3.1263 7.0486
2.9011 4.4368 1.7117
2.4128 0.6052 8.9622
3.6444 1.9158 3.6253
4.3726 3.5423 6.0377
5.6042 4.0208 0.7007
3.9670 3.0307 8.7260
5.1986 4.5324 3.3890
5.1064 0.6387 8.1885
6.3380 1.8824 2.8515
7.3420 1.2602 0.1654
6.1104 1.2608 5.5023
```


# V3Fe3Te2O16
Simulated powder XRD pattern, CuKα. Input: a DFT-relaxed cell (PBE+U, the Materials Project).
Intensities are scaled so that the largest is 100.

Most intense lines, 10° ≤ 2θ ≤ 90°, low angle first:
two_theta  Rel. int.
16.90  49.6
18.99  100.0
19.09  52.9
19.25  32.9
24.03  28.3
24.18  33.2
30.71  52.2
30.86  28.8
34.32  53.1
34.59  18.5
34.77  19.5
35.71  21.6

Structural model:
```
V3Fe3Te2O16
1.0
5.9601 0.0000 0.0000
2.9487 5.2218 0.0000
0.1078 0.0538 10.4966
V Fe Te O
3 3 2 16
Cartesian
0.0000 0.0000 0.0000
1.6745 1.0853 5.1444
2.9796 0.2922 0.3931
3.1448 3.5820 5.4592
4.7036 2.6588 0.3597
6.1715 3.5981 5.4621
4.6869 0.9763 7.4595
7.6387 2.9901 2.5226
0.1657 0.1007 6.5245
1.6776 2.5631 6.3706
3.1551 3.6842 1.4026
1.7587 0.8324 1.4330
2.9752 1.8162 4.2294
4.6528 4.5245 4.5803
4.7516 4.5160 9.9020
3.3357 1.7165 9.8435
4.6646 2.6510 6.4437
3.2485 0.1029 6.5305
6.1710 3.6676 1.3660
4.6526 0.7481 1.2525
6.1527 1.6436 9.7692
7.8507 4.5716 9.5036
7.6278 4.2164 4.1169
6.3289 1.7848 4.2399
```


# Ti7Fe13O30
Simulated powder XRD pattern, CuKα. Input: a DFT-relaxed cell (PBE+U, the Materials Project).
Intensities are scaled so that the largest is 100.

Most intense lines, 10° ≤ 2θ ≤ 90°, low angle first:
two_theta  Rel. int.
23.51  32.6
32.22  51.6
32.47  100.0
34.70  74.3
34.83  37.0
39.80  18.8
48.00  19.9
48.17  19.7
48.51  19.3
52.72  26.5
53.02  26.1
62.36  33.6

Structural model:
```
Ti7Fe13O30
1.0
5.5423 0.0000 0.0000
2.4602 8.6233 0.0000
1.5727 2.6220 11.3308
Ti Fe O
7 13 30
Cartesian
0.0000 0.0000 0.0000
2.0594 5.6489 5.6574
1.7550 2.6319 5.3915
4.4495 9.5048 7.9498
4.3672 4.9737 10.1231
5.2447 6.2200 1.1775
5.1761 1.6975 3.4252
3.7627 8.1889 11.0772
2.3947 4.0002 2.2628
4.0925 6.5857 7.6609
2.1015 0.9618 1.9879
4.7901 7.9300 4.5320
6.5044 10.5586 9.9196
4.5064 4.9512 4.2811
4.8022 3.3092 6.8531
4.8754 3.3006 0.8463
6.9442 8.9314 6.4949
7.1573 7.3051 9.0776
7.2823 7.2715 3.1560
6.8432 4.2298 8.7325
3.6311 8.2372 8.9700
2.9196 5.5215 9.1693
2.0906 2.3907 9.3029
1.5522 1.2163 4.0738
3.2176 6.6719 4.2903
2.4713 3.9796 4.3698
3.5572 3.5523 11.2923
3.8146 6.9501 0.0542
2.9698 3.6884 0.1164
3.9692 5.0433 6.4055
4.8836 8.0873 6.6452
3.1954 2.1425 6.4880
4.3997 4.9168 2.1803
3.6850 2.1637 2.3223
5.3306 7.7856 2.3557
6.3592 9.1424 8.5802
4.8034 3.3826 8.8242
5.5532 5.9274 8.8592
6.8713 8.8922 4.4044
6.1577 6.2069 4.6036
5.2823 3.0271 4.7035
7.2424 7.4095 11.1697
6.3626 4.2965 10.9830
8.1120 10.1056 11.0800
6.7111 4.2003 6.6199
6.1180 1.6440 6.8551
7.7074 6.9896 6.9454
7.0988 5.8280 1.8447
6.3549 2.6370 2.0177
8.1496 8.6891 1.9288
```


# Ti3FeO7
Simulated powder XRD pattern, CuKα. Input: a DFT-relaxed cell (PBE+U, the Materials Project).
Intensities are scaled so that the largest is 100.

Most intense lines, 10° ≤ 2θ ≤ 90°, low angle first:
two_theta  Rel. int.
32.33  51.9
32.76  96.2
34.26  45.7
38.03  53.5
47.82  100.0
54.14  15.7
56.84  61.6
57.93  38.5
58.76  12.1
61.46  14.9
64.77  20.2
74.50  16.0

Structural model:
```
Ti3FeO7
1.0
-1.4394 5.5382 3.1428
1.4394 -5.5382 3.1428
1.4394 5.5382 -3.1428
Ti Fe O
3 1 7
Cartesian
0.0000 0.0000 0.0000
0.0000 2.7920 1.3075
0.0000 8.2845 1.3075
1.4394 0.0000 2.9892
1.4394 -1.1830 1.2012
1.4394 -3.5151 2.5255
1.4394 1.1830 1.2012
1.4394 3.8053 0.1875
0.0000 1.7330 3.3302
1.4394 3.5151 2.5255
0.0000 5.5382 1.8997
```


# Ti4Fe3O12
Simulated powder XRD pattern, CuKα. Input: a DFT-relaxed cell (PBE+U, the Materials Project).
Intensities are scaled so that the largest is 100.

Most intense lines, 10° ≤ 2θ ≤ 90°, low angle first:
two_theta  Rel. int.
16.76  32.3
29.24  13.2
33.89  100.0
38.04  12.2
41.83  4.0
45.36  9.2
48.69  36.4
51.85  5.9
57.81  4.8
60.65  51.8
71.32  15.3
81.35  15.5

Structural model:
```
Ti4Fe3O12
1.0
-3.7403 3.7403 3.7403
3.7403 -3.7403 3.7403
3.7403 3.7403 -3.7403
Ti Fe O
4 3 12
Cartesian
1.8702 1.8702 -1.8702
1.8702 -1.8702 1.8702
-1.8702 1.8702 1.8702
1.8702 1.8702 1.8702
3.7403 0.0000 0.0000
0.0000 3.7403 0.0000
0.0000 0.0000 3.7403
3.7403 2.2601 -1.4298
2.3105 0.0000 1.4802
5.1701 0.0000 1.4802
1.4802 2.3105 0.0000
2.2601 -1.4298 3.7403
3.7403 2.2601 1.4298
0.0000 1.4802 2.3105
1.4802 5.1701 0.0000
2.2601 1.4298 3.7403
-1.4298 3.7403 2.2601
1.4298 3.7403 2.2601
0.0000 1.4802 5.1701
```


# Ti2Fe4O9
Simulated powder XRD pattern, CuKα. Input: a DFT-relaxed cell (PBE+U, the Materials Project).
Intensities are scaled so that the largest is 100.

Most intense lines, 10° ≤ 2θ ≤ 90°, low angle first:
two_theta  Rel. int.
23.59  43.6
23.80  23.5
32.38  69.9
32.49  67.3
32.62  65.9
34.78  50.9
34.92  100.0
48.15  27.0
48.36  26.2
48.72  25.4
52.69  36.2
62.44  45.2

Structural model:
```
Ti2Fe4O9
1.0
5.5185 0.0000 0.0000
-0.7747 7.5596 0.0000
-2.3179 -3.7736 7.7066
Ti Fe O
4 8 18
Cartesian
0.0000 0.0000 0.0000
-2.6917 0.0517 7.6866
-0.4096 3.6999 5.0465
2.8275 -0.0374 2.5393
-0.7526 2.2172 2.5326
-1.0331 5.9596 2.5498
0.0027 -0.0394 5.0424
-0.2287 -1.6078 7.6485
-0.6001 2.1371 7.6615
2.3466 3.7313 2.4896
2.0240 2.1698 5.0686
2.4856 -1.6345 5.0969
-0.8631 0.3653 3.3644
0.1044 1.7199 0.6481
-1.5120 -0.8055 6.0683
-1.1605 4.1436 6.7784
1.3199 -0.7114 1.4914
0.5549 -2.0611 4.4516
1.4671 3.9737 0.6414
0.1555 1.8033 5.7941
0.8362 3.0085 3.6310
1.9475 0.3323 4.2243
1.3377 -0.7786 6.6856
2.8634 1.6746 1.7074
1.6355 4.0972 5.9711
2.4500 5.6864 3.2918
3.3034 6.8728 0.9290
4.3335 4.0644 1.6221
3.6267 3.0016 4.2013
2.8057 1.7641 6.8967
```


Please write out number 4 again, unchanged.
# Ti3FeO7
Simulated powder XRD pattern, CuKα. Input: a DFT-relaxed cell (PBE+U, the Materials Project).
Intensities are scaled so that the largest is 100.

Most intense lines, 10° ≤ 2θ ≤ 90°, low angle first:
two_theta  Rel. int.
32.33  51.9
32.76  96.2
34.26  45.7
38.03  53.5
47.82  100.0
54.14  15.7
56.84  61.6
57.93  38.5
58.76  12.1
61.46  14.9
64.77  20.2
74.50  16.0

Structural model:
```
Ti3FeO7
1.0
-1.4394 5.5382 3.1428
1.4394 -5.5382 3.1428
1.4394 5.5382 -3.1428
Ti Fe O
3 1 7
Cartesian
0.0000 0.0000 0.0000
0.0000 2.7920 1.3075
0.0000 8.2845 1.3075
1.4394 0.0000 2.9892
1.4394 -1.1830 1.2012
1.4394 -3.5151 2.5255
1.4394 1.1830 1.2012
1.4394 3.8053 0.1875
0.0000 1.7330 3.3302
1.4394 3.5151 2.5255
0.0000 5.5382 1.8997
```